# Li7VO4F2
Calculated powder X-ray diffraction pattern, Cu Kα, 1.54184 Å. Input: the GGA+U geometry in Alexandria.
No peak broadening, texture or thermal motion is included.

Structure:
Unit cell a=5.597 b=5.888 c=9.658 alpha=101.15 beta=93.25 gamma=116.30
Fractional coordinates of all 28 atoms:
Li (0.000, 0.000, 0.000)
Li (0.003, 0.963, 0.689)
Li (0.214, 0.720, 0.350)
Li (0.219, 0.652, 0.594)
Li (0.259, 0.224, 0.538)
Li (0.324, 0.339, 0.205)
Li (0.344, 0.281, 0.891)
Li (0.440, 0.808, 0.140)
Li (0.533, 0.991, 0.827)
Li (0.593, 0.561, 0.740)
Li (0.762, 0.198, 0.658)
Li (0.792, 0.269, 0.379)
Li (0.801, 0.328, 0.067)
Li (0.987, 0.991, 0.316)
V (0.086, 0.556, 0.883)
V (0.642, 0.677, 0.451)
O (0.042, 0.849, 0.488)
O (0.156, 0.888, 0.844)
O (0.175, 0.363, 0.723)
O (0.185, 0.425, 0.041)
O (0.222, 0.410, 0.399)
O (0.609, 0.893, 0.333)
O (0.614, 0.840, 0.652)
O (0.701, 0.369, 0.861)
F (0.159, 0.946, 0.162)
F (0.650, 0.945, 0.004)
F (0.653, 0.375, 0.550)
F (0.698, 0.428, 0.245)

Principal peaks in the range 10° ≤ 2θ ≤ 90°, most intense first:
- d = 2.476 Å, intensity 100, hkl 2 0 0
- d = 2.541 Å, intensity 94, hkl -1 1 3
- d = 4.702 Å, intensity 93, hkl 1 0 -1
- d = 4.446 Å, intensity 92, hkl 1 -1 1
- d = 4.676 Å, intensity 68, hkl 0 0 2
- d = 4.188 Å, intensity 67, hkl -1 1 1
- d = 5.118 Å, intensity 65, hkl 0 1 0
- d = 2.338 Å, intensity 64, hkl 1 -2 3
- d = 3.968 Å, intensity 56, hkl 0 1 -2
- d = 4.110 Å, intensity 50, hkl 1 0 1